Simulated XRD peak list of PuN for Cu Kα, from a DFT-relaxed cell (PBE, the Materials Project).
Neutral-atom scattering factors, no anomalous dispersion.

Main lines, most intense first (10 to 90 degrees two-theta):
2θ 31.35, 2.853 Å, intensity 100; 2θ 36.36, 2.471 Å, intensity 65; 2θ 62.32, 1.490 Å, intensity 46; 2θ 52.37, 1.747 Å, intensity 46; 2θ 88.49, 1.105 Å, intensity 22; 2θ 85.69, 1.134 Å, intensity 20; 2θ 65.43, 1.426 Å, intensity 16; 2θ 77.23, 1.235 Å, intensity 7

Crystal structure
```
data_PuN
_chemical_formula_sum 'Pu4 N4'
_cell_length_a 4.941
_cell_length_b 4.941
_cell_length_c 4.941
_cell_angle_alpha 90.00
_cell_angle_beta 90.00
_cell_angle_gamma 90.00
_symmetry_space_group_name_H-M 'F m -3 m'
_symmetry_Int_Tables_number 225
_symmetry_space_group_name_Hall '-F 4 2 3'
loop_
_atom_site_label
_atom_site_type_symbol
_atom_site_fract_x
_atom_site_fract_y
_atom_site_fract_z
Pu1 Pu 0.000 0.000 0.000
N1 N 0.000 0.000 0.500
```

***

Simulated XRD peak list of PuUN2 for Cu Kα, from a DFT-relaxed cell (PBE, the Materials Project).
Neutral-atom scattering factors, no anomalous dispersion.

Main lines, most intense first (10 to 90 degrees two-theta):
2θ 31.86, 2.809 Å, intensity 100; 2θ 37.07, 2.425 Å, intensity 43; 2θ 53.16, 1.723 Å, intensity 31; 2θ 63.57, 1.464 Å, intensity 30; 2θ 36.72, 2.448 Å, intensity 22; 2θ 66.58, 1.404 Å, intensity 16; 2θ 63.09, 1.474 Å, intensity 16; 2θ 53.43, 1.715 Å, intensity 15

Crystal structure
```
data_PuUN2
_chemical_formula_sum 'Pu1 U1 N2'
_cell_length_a 3.430
_cell_length_b 3.430
_cell_length_c 4.896
_cell_angle_alpha 90.00
_cell_angle_beta 90.00
_cell_angle_gamma 90.00
_symmetry_space_group_name_H-M 'P 4/m m m'
_symmetry_Int_Tables_number 123
_symmetry_space_group_name_Hall '-P 4 2'
loop_
_atom_site_label
_atom_site_type_symbol
_atom_site_fract_x
_atom_site_fract_y
_atom_site_fract_z
Pu1 Pu 0.000 0.000 0.000
U1 U 0.500 0.500 0.500
N1 N 0.000 0.000 0.500
N2 N 0.500 0.500 0.000
```

***

Simulated XRD peak list of PuUN2 for Cu Kα, from a DFT-relaxed cell (PBE, the Materials Project).
Neutral-atom scattering factors, no anomalous dispersion.

Main lines, most intense first (10 to 90 degrees two-theta):
2θ 31.72, 2.821 Å, intensity 100; 2θ 36.84, 2.440 Å, intensity 86; 2θ 63.14, 1.472 Å, intensity 46; 2θ 31.88, 2.807 Å, intensity 33; 2θ 52.98, 1.728 Å, intensity 31; 2θ 53.19, 1.722 Å, intensity 30; 2θ 66.27, 1.410 Å, intensity 16; 2θ 63.36, 1.468 Å, intensity 15

Crystal structure
```
data_PuUN2
_chemical_formula_sum 'Pu3 U3 N6'
_cell_length_a 3.4569
_cell_length_b 3.4569
_cell_length_c 16.8428
_cell_angle_alpha 90.00
_cell_angle_beta 90.00
_cell_angle_gamma 120.00
_symmetry_space_group_name_H-M 'R -3 m'
_symmetry_Int_Tables_number 166
_symmetry_space_group_name_Hall '-R 3 2"'
loop_
_atom_site_label
_atom_site_type_symbol
_atom_site_fract_x
_atom_site_fract_y
_atom_site_fract_z
Pu1 Pu 0.0000 0.0000 0.0000
U1 U 0.0000 0.0000 0.5000
N1 N 0.0000 0.0000 0.2450
```

***

Simulated XRD peak list of RbSnN for Cu Kα, from a DFT-relaxed cell (PBE, the Materials Project).
Neutral-atom scattering factors, no anomalous dispersion.

Main lines, most intense first (10 to 90 degrees two-theta):
2θ 32.61, 2.746 Å, intensity 100; 2θ 27.90, 3.198 Å, intensity 38; 2θ 52.42, 1.746 Å, intensity 29; 2θ 60.12, 1.539 Å, intensity 27; 2θ 52.09, 1.756 Å, intensity 25; 2θ 30.21, 2.958 Å, intensity 23; 2θ 36.29, 2.476 Å, intensity 21; 2θ 62.82, 1.479 Å, intensity 16

Crystal structure
```
data_RbSnN
_chemical_formula_sum 'Rb2 Sn2 N2'
_cell_length_a 3.5113
_cell_length_b 3.5113
_cell_length_c 12.7915
_cell_angle_alpha 90.00
_cell_angle_beta 90.00
_cell_angle_gamma 120.00
_symmetry_space_group_name_H-M 'P 63 m c'
_symmetry_Int_Tables_number 186
_symmetry_space_group_name_Hall 'P 6c -2c'
loop_
_atom_site_label
_atom_site_type_symbol
_atom_site_fract_x
_atom_site_fract_y
_atom_site_fract_z
Rb1 Rb 0.3333 0.6667 0.0000
Sn1 Sn 0.0000 0.0000 0.2572
N1 N 0.3333 0.6667 0.3388
```

***

Simulated XRD peak list of Rb6WN4 for Cu Kα, from a DFT-relaxed cell (PBE, the Materials Project).
Neutral-atom scattering factors, no anomalous dispersion.

Main lines, most intense first (10 to 90 degrees two-theta):
2θ 26.36, 3.381 Å, intensity 100; 2θ 29.53, 3.025 Å, intensity 89; 2θ 33.79, 2.653 Å, intensity 79; 2θ 28.81, 3.099 Å, intensity 73; 2θ 59.61, 1.551 Å, intensity 55; 2θ 51.94, 1.760 Å, intensity 33; 2θ 24.67, 3.608 Å, intensity 31; 2θ 49.57, 1.839 Å, intensity 30

Crystal structure
```
data_Rb6WN4
_chemical_formula_sum 'Rb12 W2 N8'
_cell_length_a 8.557
_cell_length_b 8.557
_cell_length_c 7.216
_cell_angle_alpha 90.00
_cell_angle_beta 90.00
_cell_angle_gamma 90.00
_symmetry_space_group_name_H-M 'P 42/n m c'
_symmetry_Int_Tables_number 137
loop_
_symmetry_equiv_pos_as_xyz
'x,y,z'
'-x,-y,-z'
'-y+1/2,x,z+1/2'
'y+1/2,-x,-z+1/2'
'-x+1/2,-y+1/2,z'
'x+1/2,y+1/2,-z'
'y,-x+1/2,z+1/2'
'-y,x+1/2,-z+1/2'
'x+1/2,-y,-z'
'-x+1/2,y,z'
'-y,-x,-z+1/2'
'y,x,z+1/2'
'-x,y+1/2,-z'
'x,-y+1/2,z'
'y+1/2,x+1/2,-z+1/2'
'-y+1/2,-x+1/2,z+1/2'
loop_
_atom_site_label
_atom_site_type_symbol
_atom_site_fract_x
_atom_site_fract_y
_atom_site_fract_z
Rb1 Rb 0.046 0.546 0.250
Rb2 Rb 0.250 0.250 0.047
W1 W 0.250 0.750 0.750
N1 N 0.061 0.750 0.605
```

***

Simulated XRD peak list of RbYN4 for Cu Kα, from a DFT-relaxed cell (PBE, the Materials Project).
Neutral-atom scattering factors, no anomalous dispersion.

Main lines, most intense first (10 to 90 degrees two-theta):
2θ 24.26, 3.669 Å, intensity 100; 2θ 23.78, 3.741 Å, intensity 53; 2θ 25.31, 3.519 Å, intensity 48; 2θ 35.01, 2.563 Å, intensity 45; 2θ 15.60, 5.682 Å, intensity 43; 2θ 21.69, 4.096 Å, intensity 35; 2θ 28.22, 3.163 Å, intensity 34; 2θ 12.27, 7.212 Å, intensity 30

Crystal structure
```
data_RbYN4
_chemical_formula_sum 'Rb2 Y2 N8'
_cell_length_a 6.433
_cell_length_b 7.188
_cell_length_c 7.873
_cell_angle_alpha 100.24
_cell_angle_beta 104.74
_cell_angle_gamma 114.38
_symmetry_space_group_name_H-M 'P -1'
_symmetry_Int_Tables_number 2
_symmetry_space_group_name_Hall '-P 1'
loop_
_atom_site_label
_atom_site_type_symbol
_atom_site_fract_x
_atom_site_fract_y
_atom_site_fract_z
Rb1 Rb 0.209 0.140 0.322
Y1 Y 0.330 0.629 0.078
N1 N 0.011 0.707 0.023
N2 N 0.248 0.591 0.357
N3 N 0.328 0.049 0.691
N4 N 0.485 0.580 0.851
```

***

Simulated XRD peak list of Rb2ZnN4 for Cu Kα, from a DFT-relaxed cell (PBE, the Materials Project).
Neutral-atom scattering factors, no anomalous dispersion.

Main lines, most intense first (10 to 90 degrees two-theta):
2θ 25.87, 3.444 Å, intensity 100; 2θ 26.74, 3.333 Å, intensity 88; 2θ 21.04, 4.223 Å, intensity 71; 2θ 30.11, 2.968 Å, intensity 56; 2θ 26.26, 3.394 Å, intensity 55; 2θ 33.65, 2.663 Å, intensity 52; 2θ 32.72, 2.737 Å, intensity 46; 2θ 39.63, 2.274 Å, intensity 41

Crystal structure
```
data_Rb2ZnN4
_chemical_formula_sum 'Rb8 Zn4 N16'
_cell_length_a 8.409
_cell_length_b 6.667
_cell_length_c 13.272
_cell_angle_alpha 90.00
_cell_angle_beta 110.34
_cell_angle_gamma 90.00
_symmetry_space_group_name_H-M 'P 1 21/c 1'
_symmetry_Int_Tables_number 14
_symmetry_space_group_name_Hall '-P 2ybc'
loop_
_atom_site_label
_atom_site_type_symbol
_atom_site_fract_x
_atom_site_fract_y
_atom_site_fract_z
Rb1 Rb 0.037 0.201 0.350
Rb2 Rb 0.420 0.739 0.091
Zn1 Zn 0.208 0.224 0.136
N1 N 0.035 0.748 0.445
N2 N 0.249 0.519 0.720
N3 N 0.262 0.067 0.745
N4 N 0.340 0.249 0.545
```

***

Simulated XRD peak list of ReN for Cu Kα, from a DFT-relaxed cell (PBE, the Materials Project).
Neutral-atom scattering factors, no anomalous dispersion.

Main lines, most intense first (10 to 90 degrees two-theta):
2θ 33.58, 2.669 Å, intensity 100; 2θ 38.97, 2.311 Å, intensity 43; 2θ 67.17, 1.394 Å, intensity 41; 2θ 56.30, 1.634 Å, intensity 39; 2θ 70.59, 1.334 Å, intensity 11; 2θ 83.70, 1.156 Å, intensity 6

Crystal structure
```
data_ReN
_chemical_formula_sum 'Re4 N4'
_cell_length_a 4.622
_cell_length_b 4.622
_cell_length_c 4.622
_cell_angle_alpha 90.00
_cell_angle_beta 90.00
_cell_angle_gamma 90.00
_symmetry_space_group_name_H-M 'F -4 3 m'
_symmetry_Int_Tables_number 216
_symmetry_space_group_name_Hall 'F -4 2 3'
loop_
_atom_site_label
_atom_site_type_symbol
_atom_site_fract_x
_atom_site_fract_y
_atom_site_fract_z
Re1 Re 0.000 0.000 0.000
N1 N 0.250 0.250 0.750
```

***

Simulated XRD peak list of ReN for Cu Kα, from a DFT-relaxed cell (PBE, the Materials Project).
Neutral-atom scattering factors, no anomalous dispersion.

Main lines, most intense first (10 to 90 degrees two-theta):
2θ 36.12, 2.487 Å, intensity 100; 2θ 28.68, 3.112 Å, intensity 39; 2θ 56.34, 1.633 Å, intensity 32; 2θ 55.78, 1.648 Å, intensity 29; 2θ 47.39, 1.918 Å, intensity 21; 2θ 80.69, 1.191 Å, intensity 20; 2θ 76.63, 1.243 Å, intensity 10; 2θ 79.27, 1.208 Å, intensity 10

Crystal structure
```
data_ReN
_chemical_formula_sum 'Re2 N2'
_cell_length_a 2.713
_cell_length_b 2.713
_cell_length_c 6.224
_cell_angle_alpha 90.00
_cell_angle_beta 90.00
_cell_angle_gamma 90.00
_symmetry_space_group_name_H-M 'P 42/m m c'
_symmetry_Int_Tables_number 131
_symmetry_space_group_name_Hall '-P 4c 2'
loop_
_atom_site_label
_atom_site_type_symbol
_atom_site_fract_x
_atom_site_fract_y
_atom_site_fract_z
Re1 Re 0.000 0.500 0.000
N1 N 0.000 0.000 0.250
```

***

Simulated XRD peak list of ReN for Cu Kα, from a DFT-relaxed cell (PBE, the Materials Project).
Neutral-atom scattering factors, no anomalous dispersion.

Main lines, most intense first (10 to 90 degrees two-theta):
2θ 38.27, 2.352 Å, intensity 100; 2θ 44.48, 2.037 Å, intensity 65; 2θ 64.73, 1.440 Å, intensity 42; 2θ 77.76, 1.228 Å, intensity 41; 2θ 31.05, 2.880 Å, intensity 39; 2θ 21.82, 4.073 Å, intensity 34; 2θ 50.07, 1.822 Å, intensity 16; 2θ 55.24, 1.663 Å, intensity 15

Crystal structure
```
data_ReN
_chemical_formula_sum 'Re3 N3'
_cell_length_a 4.073
_cell_length_b 4.073
_cell_length_c 4.073
_cell_angle_alpha 90.00
_cell_angle_beta 90.00
_cell_angle_gamma 90.00
_symmetry_space_group_name_H-M 'P m -3 m'
_symmetry_Int_Tables_number 221
_symmetry_space_group_name_Hall '-P 4 2 3'
loop_
_atom_site_label
_atom_site_type_symbol
_atom_site_fract_x
_atom_site_fract_y
_atom_site_fract_z
Re1 Re 0.000 0.000 0.500
N1 N 0.000 0.500 0.500
```

***

Simulated XRD peak list of Re3N4 for Cu Kα, from a DFT-relaxed cell (PBE, the Materials Project).
Neutral-atom scattering factors, no anomalous dispersion.

Main lines, most intense first (10 to 90 degrees two-theta):
2θ 35.22, 2.548 Å, intensity 100; 2θ 36.13, 2.486 Å, intensity 79; 2θ 49.89, 1.828 Å, intensity 44; 2θ 23.29, 3.819 Å, intensity 35; 2θ 33.99, 2.637 Å, intensity 33; 2θ 24.35, 3.656 Å, intensity 28; 2θ 63.97, 1.455 Å, intensity 28; 2θ 35.40, 2.536 Å, intensity 27

Crystal structure
```
data_Re3N4
_chemical_formula_sum 'Re12 N16'
_cell_length_a 10.053
_cell_length_b 5.873
_cell_length_c 5.275
_cell_angle_alpha 90.00
_cell_angle_beta 90.00
_cell_angle_gamma 90.00
_symmetry_space_group_name_H-M 'P n m a'
_symmetry_Int_Tables_number 62
_symmetry_space_group_name_Hall '-P 2ac 2n'
loop_
_atom_site_label
_atom_site_type_symbol
_atom_site_fract_x
_atom_site_fract_y
_atom_site_fract_z
Re1 Re 0.000 0.000 0.000
Re2 Re 0.082 0.250 0.398
Re3 Re 0.246 0.250 0.010
N1 N 0.084 0.250 0.760
N2 N 0.092 0.750 0.751
N3 N 0.171 0.515 0.254
```

***

Simulated XRD peak list of ReN for Cu Kα, from a DFT-relaxed cell (PBE, the Materials Project).
Neutral-atom scattering factors, no anomalous dispersion.

Main lines, most intense first (10 to 90 degrees two-theta):
2θ 48.12, 1.891 Å, intensity 100; 2θ 37.16, 2.420 Å, intensity 90; 2θ 29.48, 3.030 Å, intensity 50; 2θ 73.79, 1.284 Å, intensity 25; 2θ 74.84, 1.269 Å, intensity 23; 2θ 66.99, 1.397 Å, intensity 19; 2θ 86.65, 1.124 Å, intensity 19; 2θ 79.17, 1.210 Å, intensity 11

Crystal structure
```
data_ReN
_chemical_formula_sum 'Re1 N1'
_cell_length_a 2.7940
_cell_length_b 2.7940
_cell_length_c 3.0302
_cell_angle_alpha 90.00
_cell_angle_beta 90.00
_cell_angle_gamma 120.00
_symmetry_space_group_name_H-M 'P -6 m 2'
_symmetry_Int_Tables_number 187
_symmetry_space_group_name_Hall 'P -6 2'
loop_
_atom_site_label
_atom_site_type_symbol
_atom_site_fract_x
_atom_site_fract_y
_atom_site_fract_z
Re1 Re 0.0000 0.0000 0.0000
N1 N 0.6667 0.3333 0.5000
```

***

Simulated XRD peak list of ReN for Cu Kα, from a DFT-relaxed cell (PBE, the Materials Project).
Neutral-atom scattering factors, no anomalous dispersion.

Main lines, most intense first (10 to 90 degrees two-theta):
2θ 48.58, 1.874 Å, intensity 100; 2θ 37.13, 2.422 Å, intensity 93; 2θ 30.20, 2.959 Å, intensity 49; 2θ 75.26, 1.263 Å, intensity 25; 2θ 75.16, 1.264 Å, intensity 24; 2θ 66.92, 1.398 Å, intensity 20; 2θ 86.93, 1.121 Å, intensity 19; 2θ 79.09, 1.211 Å, intensity 11

Crystal structure
```
data_ReN
_chemical_formula_sum 'Re2 N2'
_cell_length_a 2.7963
_cell_length_b 2.7963
_cell_length_c 5.9184
_cell_angle_alpha 90.00
_cell_angle_beta 90.00
_cell_angle_gamma 120.00
_symmetry_space_group_name_H-M 'P 63/m m c'
_symmetry_Int_Tables_number 194
_symmetry_space_group_name_Hall '-P 6c 2c'
loop_
_atom_site_label
_atom_site_type_symbol
_atom_site_fract_x
_atom_site_fract_y
_atom_site_fract_z
Re1 Re 0.0000 0.0000 0.0000
N1 N 0.3333 0.6667 0.2500
```

***

Simulated XRD peak list of ReSbN for Cu Kα, from a DFT-relaxed cell (PBE, the Materials Project).
Neutral-atom scattering factors, no anomalous dispersion.

Main lines, most intense first (10 to 90 degrees two-theta):
2θ 33.42, 2.682 Å, intensity 100; 2θ 37.04, 2.427 Å, intensity 39; 2θ 10.29, 8.593 Å, intensity 32; 2θ 64.46, 1.445 Å, intensity 30; 2θ 53.38, 1.716 Å, intensity 18; 2θ 57.28, 1.609 Å, intensity 17; 2θ 41.04, 2.199 Å, intensity 11; 2θ 42.06, 2.148 Å, intensity 9

Crystal structure
```
data_ReSbN
_chemical_formula_sum 'Re2 Sb2 N2'
_cell_length_a 3.432
_cell_length_b 3.432
_cell_length_c 8.593
_cell_angle_alpha 90.00
_cell_angle_beta 90.00
_cell_angle_gamma 90.00
_symmetry_space_group_name_H-M 'P 4/n m m'
_symmetry_Int_Tables_number 129
loop_
_symmetry_equiv_pos_as_xyz
'x,y,z'
'-x,-y,-z'
'-y+1/2,x,z'
'y+1/2,-x,-z'
'-x+1/2,-y+1/2,z'
'x+1/2,y+1/2,-z'
'y,-x+1/2,z'
'-y,x+1/2,-z'
'x+1/2,-y,-z'
'-x+1/2,y,z'
'-y,-x,-z'
'y,x,z'
'-x,y+1/2,-z'
'x,-y+1/2,z'
'y+1/2,x+1/2,-z'
'-y+1/2,-x+1/2,z'
loop_
_atom_site_label
_atom_site_type_symbol
_atom_site_fract_x
_atom_site_fract_y
_atom_site_fract_z
Re1 Re 0.250 0.250 0.127
Sb1 Sb 0.250 0.250 0.667
N1 N 0.250 0.750 0.000
```